Fe: computed powder diffraction line list (a wavelength of 1.5418 Å), based on a cell relaxed with GGA-PBE.

Main lines, by angle (10° ≤ 2θ ≤ 90°):
d 2.157, I 5.6; d 2.034, I 100.0; d 1.840, I 27.3; d 1.761, I 9.4; d 1.692, I 12.6; d 1.245, I 4.6; d 1.220, I 7.3; d 1.174, I 22.1; d 1.153, I 3.8; d 1.096, I 4.1

Cell and atoms:
```
data_Fe
_cell_length_a 7.472
_cell_length_b 7.472
_cell_length_c 7.472
_cell_angle_alpha 109.47
_cell_angle_beta 109.47
_cell_angle_gamma 109.47
_space_group_name_H-M_alt 'P 1'
_space_group_IT_number 1
_space_group_name_Hall 'P 1'
loop_
_atom_site_label
_atom_site_fract_x
_atom_site_fract_y
_atom_site_fract_z
Fe1 0.000 0.000 0.000
Fe2 0.000 0.000 0.633
Fe3 0.000 0.189 0.370
Fe4 0.000 0.370 0.189
Fe5 0.000 0.400 0.680
Fe6 0.000 0.633 0.000
Fe7 0.000 0.680 0.400
Fe8 0.181 0.811 0.811
Fe9 0.189 0.000 0.370
Fe10 0.189 0.370 0.000
Fe11 0.280 0.600 0.600
Fe12 0.320 0.320 0.720
Fe13 0.320 0.720 0.320
Fe14 0.367 0.367 0.367
Fe15 0.370 0.000 0.189
Fe16 0.370 0.189 0.000
Fe17 0.400 0.000 0.680
Fe18 0.400 0.680 0.000
Fe19 0.600 0.280 0.600
Fe20 0.600 0.600 0.280
Fe21 0.630 0.630 0.819
Fe22 0.630 0.819 0.630
Fe23 0.633 0.000 0.000
Fe24 0.680 0.000 0.400
Fe25 0.680 0.400 0.000
Fe26 0.720 0.320 0.320
Fe27 0.811 0.181 0.811
Fe28 0.811 0.811 0.181
Fe29 0.819 0.630 0.630
```